Diffraction record for BaCuS5. The powder diffraction line list is theoretical, not measured: it uses a structure optimized by DFT (PBE) and Cu Kα, 1.54184 Å.
Neutral-atom scattering factors, no anomalous dispersion.

Peak list (12 most intense, 10 to 80 degrees two-theta, in order of falling intensity)
- d = 7.550 Å, I 100
- d = 3.081 Å, I 61
- d = 4.361 Å, I 51
- d = 2.981 Å, I 47
- d = 5.366 Å, I 45
- d = 3.280 Å, I 35
- d = 3.683 Å, I 32
- d = 2.822 Å, I 26
- d = 2.208 Å, I 25
- d = 4.647 Å, I 23
- d = 2.682 Å, I 22
- d = 2.778 Å, I 21

Crystal structure
Lattice parameters (Å, degrees): 5.699 9.582 9.826 102.21 102.73 101.69
Atoms (fractional coordinates):
Ba (0.232, 0.409, 0.177)
Ba (0.768, 0.591, 0.823)
Cu (0.000, 0.000, 0.000)
Cu (0.000, 0.500, 0.500)
S (0.004, 0.088, 0.219)
S (0.018, 0.362, 0.661)
S (0.243, 0.466, 0.871)
S (0.294, 0.813, 0.818)
S (0.319, 0.709, 0.621)
S (0.681, 0.291, 0.379)
S (0.706, 0.187, 0.182)
S (0.757, 0.534, 0.129)
S (0.982, 0.638, 0.339)
S (0.996, 0.912, 0.781)

Diffraction record for Ac2SbH. The powder diffraction line list is theoretical, not measured: it uses a structure optimized by DFT (PBE) and Cu Kα, 1.54184 Å.
Neutral-atom scattering factors, no anomalous dispersion.

Peak list (12 most intense, 10 to 80 degrees two-theta, in order of falling intensity)
- d = 3.362 Å, I 100
- d = 2.376 Å, I 48
- d = 3.618 Å, I 31
- d = 3.687 Å, I 29
- d = 3.310 Å, I 24
- d = 1.503 Å, I 20
- d = 2.175 Å, I 19
- d = 2.852 Å, I 18
- d = 1.681 Å, I 13
- d = 2.387 Å, I 13
- d = 1.809 Å, I 12
- d = 3.349 Å, I 12

Crystal structure
Lattice parameters (Å, degrees): 6.726 6.723 13.089 90.00 119.36 90.00
Atoms (fractional coordinates):
Ac (0.096, 0.235, 0.091)
Ac (0.096, 0.765, 0.591)
Ac (0.324, 0.238, 0.840)
Ac (0.324, 0.762, 0.340)
Ac (0.676, 0.238, 0.660)
Ac (0.676, 0.762, 0.160)
Ac (0.904, 0.235, 0.409)
Ac (0.904, 0.765, 0.909)
Sb (0.373, 0.264, 0.376)
Sb (0.373, 0.736, 0.876)
Sb (0.627, 0.264, 0.124)
Sb (0.627, 0.736, 0.624)
H (0.001, 0.121, 0.874)
H (0.001, 0.879, 0.374)
H (0.999, 0.121, 0.626)
H (0.999, 0.879, 0.126)

Diffraction record for Tb4Ho3Rh4. The powder diffraction line list is theoretical, not measured: it uses a structure optimized by DFT (PBE) and Cu Kα, 1.54184 Å.
Neutral-atom scattering factors, no anomalous dispersion.

Peak list (12 most intense, 10 to 80 degrees two-theta, in order of falling intensity)
- d = 2.792 Å, I 100
- d = 2.585 Å, I 79
- d = 2.602 Å, I 60
- d = 2.287 Å, I 35
- d = 1.492 Å, I 35
- d = 1.833 Å, I 25
- d = 3.008 Å, I 24
- d = 2.222 Å, I 23
- d = 1.499 Å, I 22
- d = 2.408 Å, I 22
- d = 3.019 Å, I 21
- d = 1.746 Å, I 16

Crystal structure
Lattice parameters (Å, degrees): 9.335 9.335 9.335 157.35 122.72 62.39
Atoms (fractional coordinates):
Tb (0.022, 0.836, 0.186)
Tb (0.351, 0.164, 0.186)
Tb (0.649, 0.836, 0.814)
Tb (0.978, 0.164, 0.814)
Ho (0.000, 0.500, 0.500)
Ho (0.398, 0.398, 0.000)
Ho (0.602, 0.602, 0.000)
Rh (0.254, 0.754, 0.500)
Rh (0.285, 0.000, 0.285)
Rh (0.715, 0.000, 0.715)
Rh (0.746, 0.246, 0.500)

Diffraction record for Er4InGa2. The powder diffraction line list is theoretical, not measured: it uses a structure optimized by DFT (PBE) and Cu Kα, 1.54184 Å.
Neutral-atom scattering factors, no anomalous dispersion.

Peak list (12 most intense, 10 to 80 degrees two-theta, in order of falling intensity)
- d = 2.485 Å, I 100
- d = 3.356 Å, I 85
- d = 2.275 Å, I 46
- d = 2.861 Å, I 27
- d = 1.997 Å, I 20
- d = 1.391 Å, I 19
- d = 1.557 Å, I 18
- d = 1.435 Å, I 18
- d = 1.678 Å, I 18
- d = 1.661 Å, I 14
- d = 1.242 Å, I 11
- d = 3.621 Å, I 10

Crystal structure
Lattice parameters (Å, degrees): 9.385 9.385 9.385 30.71 30.71 30.71
Atoms (fractional coordinates):
Er (0.118, 0.118, 0.118)
Er (0.294, 0.294, 0.294)
Er (0.706, 0.706, 0.706)
Er (0.882, 0.882, 0.882)
In (0.500, 0.500, 0.500)
Ga (0.400, 0.400, 0.400)
Ga (0.600, 0.600, 0.600)

Diffraction record for Mg2Ga9Ni3. The powder diffraction line list is theoretical, not measured: it uses a structure optimized by DFT (PBE) and Cu Kα, 1.54184 Å.
Neutral-atom scattering factors, no anomalous dispersion.

Peak list (12 most intense, 10 to 80 degrees two-theta, in order of falling intensity)
- d = 2.385 Å, I 100
- d = 2.110 Å, I 70
- d = 2.394 Å, I 44
- d = 2.113 Å, I 35
- d = 1.984 Å, I 33
- d = 1.928 Å, I 29
- d = 4.732 Å, I 29
- d = 1.264 Å, I 24
- d = 3.411 Å, I 20
- d = 1.925 Å, I 19
- d = 1.991 Å, I 16
- d = 2.360 Å, I 15

Crystal structure
Lattice parameters (Å, degrees): 7.316 7.316 10.385 110.91 110.91 59.90
Atoms (fractional coordinates):
Mg (0.083, 0.253, 0.250)
Mg (0.253, 0.083, 0.750)
Mg (0.747, 0.917, 0.250)
Mg (0.917, 0.747, 0.750)
Ga (0.019, 0.865, 0.075)
Ga (0.135, 0.981, 0.425)
Ga (0.185, 0.359, 0.577)
Ga (0.196, 0.583, 0.251)
Ga (0.305, 0.477, 0.932)
Ga (0.359, 0.185, 0.077)
Ga (0.363, 0.637, 0.750)
Ga (0.417, 0.804, 0.249)
Ga (0.477, 0.305, 0.432)
Ga (0.523, 0.695, 0.568)
Ga (0.583, 0.196, 0.751)
Ga (0.637, 0.363, 0.250)
Ga (0.641, 0.815, 0.923)
Ga (0.695, 0.523, 0.068)
Ga (0.804, 0.417, 0.749)
Ga (0.815, 0.641, 0.423)
Ga (0.865, 0.019, 0.575)
Ga (0.981, 0.135, 0.925)
Ni (0.000, 0.500, 0.000)
Ni (0.168, 0.667, 0.501)
Ni (0.333, 0.832, 0.999)
Ni (0.500, 0.000, 0.500)
Ni (0.667, 0.168, 0.001)
Ni (0.832, 0.333, 0.499)

Diffraction record for Tb4TeAuSe2. The powder diffraction line list is theoretical, not measured: it uses a structure optimized by DFT (PBE) and Cu Kα, 1.54184 Å.
Neutral-atom scattering factors, no anomalous dispersion.

Peak list (12 most intense, 10 to 80 degrees two-theta, in order of falling intensity)
- d = 2.967 Å, I 100
- d = 2.977 Å, I 51
- d = 2.112 Å, I 38
- d = 2.091 Å, I 37
- d = 2.156 Å, I 20
- d = 1.685 Å, I 19
- d = 2.044 Å, I 18
- d = 1.483 Å, I 13
- d = 1.759 Å, I 11
- d = 1.734 Å, I 10
- d = 1.336 Å, I 9
- d = 1.356 Å, I 9

Crystal structure
Lattice parameters (Å, degrees): 7.301 4.088 7.403 90.00 108.17 90.00
Atoms (fractional coordinates):
Tb (0.234, 0.000, 0.234)
Tb (0.240, 0.500, 0.752)
Tb (0.760, 0.500, 0.248)
Tb (0.766, 0.000, 0.766)
Te (0.500, 0.500, 0.500)
Au (0.000, 0.000, 0.500)
Se (0.000, 0.500, 0.000)
Se (0.500, 0.000, 0.000)

Copy entry 5 word for word.
Diffraction record for Mg2Ga9Ni3. The powder diffraction line list is theoretical, not measured: it uses a structure optimized by DFT (PBE) and Cu Kα, 1.54184 Å.
Neutral-atom scattering factors, no anomalous dispersion.

Peak list (12 most intense, 10 to 80 degrees two-theta, in order of falling intensity)
- d = 2.385 Å, I 100
- d = 2.110 Å, I 70
- d = 2.394 Å, I 44
- d = 2.113 Å, I 35
- d = 1.984 Å, I 33
- d = 1.928 Å, I 29
- d = 4.732 Å, I 29
- d = 1.264 Å, I 24
- d = 3.411 Å, I 20
- d = 1.925 Å, I 19
- d = 1.991 Å, I 16
- d = 2.360 Å, I 15

Crystal structure
Lattice parameters (Å, degrees): 7.316 7.316 10.385 110.91 110.91 59.90
Atoms (fractional coordinates):
Mg (0.083, 0.253, 0.250)
Mg (0.253, 0.083, 0.750)
Mg (0.747, 0.917, 0.250)
Mg (0.917, 0.747, 0.750)
Ga (0.019, 0.865, 0.075)
Ga (0.135, 0.981, 0.425)
Ga (0.185, 0.359, 0.577)
Ga (0.196, 0.583, 0.251)
Ga (0.305, 0.477, 0.932)
Ga (0.359, 0.185, 0.077)
Ga (0.363, 0.637, 0.750)
Ga (0.417, 0.804, 0.249)
Ga (0.477, 0.305, 0.432)
Ga (0.523, 0.695, 0.568)
Ga (0.583, 0.196, 0.751)
Ga (0.637, 0.363, 0.250)
Ga (0.641, 0.815, 0.923)
Ga (0.695, 0.523, 0.068)
Ga (0.804, 0.417, 0.749)
Ga (0.815, 0.641, 0.423)
Ga (0.865, 0.019, 0.575)
Ga (0.981, 0.135, 0.925)
Ni (0.000, 0.500, 0.000)
Ni (0.168, 0.667, 0.501)
Ni (0.333, 0.832, 0.999)
Ni (0.500, 0.000, 0.500)
Ni (0.667, 0.168, 0.001)
Ni (0.832, 0.333, 0.499)